[1]
Structure and calculated powder X-ray diffraction pattern of RbNdMo2O8 (a cell relaxed with GGA+U; Cu Kα (λ = 1.5418 Å)).

Atomic structure:
Unit cell a=10.9649 b=10.7495 c=7.9046 alpha=90.00 beta=131.28 gamma=90.00
Space group C2/c (No. 15)
Asymmetric unit:
Rb1 0.0000 0.1995 0.2500 (multiplicity 4)
Nd1 0.0000 0.2299 0.7500 (multiplicity 4)
Mo1 0.1942 0.4987 0.2378 (multiplicity 8)
O1 0.0248 0.3942 0.9746 (multiplicity 8)
O2 0.1304 0.0765 0.6915 (multiplicity 8)
O3 0.1900 0.4263 0.4365 (multiplicity 8)
O4 0.2294 0.1552 0.1315 (multiplicity 8)

Main lines, low angle first (2θ = 10–90°):
- d = 6.355 Å, I 198
- d = 3.284 Å, I 530
- d = 3.269 Å, I 1000
- d = 3.177 Å, I 956
- d = 2.970 Å, I 452
- d = 2.687 Å, I 162
- d = 2.661 Å, I 152
- d = 1.993 Å, I 243
- d = 1.824 Å, I 154
- d = 1.737 Å, I 208

[2]
Structure and calculated powder X-ray diffraction pattern of LiCoSnO4 (a cell relaxed with GGA+U; Cu Kα (λ = 1.5418 Å)).

Atomic structure:
Unit cell a=10.7969 b=5.9300 c=10.7988 alpha=90.00 beta=109.30 gamma=90.00
Space group C2/c (No. 15)
Asymmetric unit:
Li1 0.1881 0.2505 0.3114 (multiplicity 8)
Co1 0.0000 0.0000 0.0000 (multiplicity 4)
Co2 0.0000 0.5000 0.0000 (multiplicity 4)
Sn1 0.0000 0.2457 0.7500 (multiplicity 4)
Sn2 0.2500 0.2500 0.0000 (multiplicity 4)
O1 0.1002 0.2437 0.6114 (multiplicity 8)
O2 0.1121 0.2400 0.1004 (multiplicity 8)
O3 0.1184 0.4854 0.8798 (multiplicity 8)
O4 0.1247 0.0165 0.8768 (multiplicity 8)

Main lines, low angle first (2θ = 10–90°):
- d = 5.096 Å, I 355
- d = 4.919 Å, I 1000
- d = 2.635 Å, I 629
- d = 2.548 Å, I 186
- d = 2.459 Å, I 162
- d = 2.202 Å, I 239
- d = 2.150 Å, I 434
- d = 2.012 Å, I 154
- d = 1.641 Å, I 167
- d = 1.538 Å, I 297